# 1
The following is a simulated powder diffractogram of CaInGa2Au4. It was derived from a cell relaxed with PBE, using Cu Kα, 1.54184 Å.
Peak positions follow from Bragg's law for the DFT cell and can differ from measured ones.

Principal peaks in the range 10° ≤ 2θ ≤ 90°, by angle:
| d_spacing | two_theta | I_rel |
| --- | --- | --- |
| 3.412 | 26.12 | 426 |
| 2.674 | 33.52 | 1000 |
| 2.355 | 38.22 | 240 |
| 2.216 | 40.72 | 969 |
| 1.706 | 53.73 | 261 |
| 1.352 | 69.54 | 240 |

Atomic structure:
Cell: 10.263 10.263 10.263 Å, 24.94 24.94 24.94°
Fractional positions:
Ca 0.000 0.000 0.000
In 0.500 0.500 0.500
Ga 0.254 0.254 0.254
Ga 0.746 0.746 0.746
Au 0.119 0.119 0.119
Au 0.394 0.394 0.394
Au 0.606 0.606 0.606
Au 0.881 0.881 0.881

---

# 2
The following is a simulated powder diffractogram of Cs2LaF6. It was derived from a cell relaxed with PBE, using Cu Kα, 1.54184 Å.
Peak positions follow from Bragg's law for the DFT cell and can differ from measured ones.

Principal peaks in the range 10° ≤ 2θ ≤ 90°, by angle:
| d_spacing | two_theta | I_rel |
| --- | --- | --- |
| 3.845 | 23.13 | 1000 |
| 3.673 | 24.23 | 912 |
| 3.490 | 25.52 | 216 |
| 2.354 | 38.24 | 396 |
| 2.324 | 38.74 | 380 |
| 2.077 | 43.58 | 192 |

Atomic structure:
Cell: 7.997 7.997 4.321 Å, 104.50 104.50 51.75°
Fractional positions:
Cs 0.168 0.168 0.162
Cs 0.832 0.832 0.838
La 0.500 0.500 0.500
F 0.154 0.576 0.369
F 0.314 0.686 0.000
F 0.424 0.846 0.631
F 0.576 0.154 0.369
F 0.686 0.314 0.000
F 0.846 0.424 0.631

---

# 3
The following is a simulated powder diffractogram of NdPaFe. It was derived from a cell relaxed with PBE, using Cu Kα, 1.54184 Å.
Peak positions follow from Bragg's law for the DFT cell and can differ from measured ones.

Principal peaks in the range 10° ≤ 2θ ≤ 90°, by angle:
| d_spacing | two_theta | I_rel |
| --- | --- | --- |
| 3.255 | 27.40 | 1000 |
| 2.728 | 32.83 | 317 |
| 2.681 | 33.43 | 717 |
| 2.050 | 44.18 | 322 |
| 1.637 | 56.19 | 276 |
| 1.628 | 56.54 | 164 |

Atomic structure:
Cell: 4.100 4.100 11.161 Å, 100.49 100.49 59.87°
Fractional positions:
Nd 0.119 0.119 0.360
Nd 0.881 0.881 0.640
Pa 0.373 0.373 0.117
Pa 0.627 0.627 0.883
Fe 0.285 0.285 0.849
Fe 0.715 0.715 0.151

---

Q: What is the formula in the second record?
A: Cs2LaF6